Starting from a crystal structure in Alexandria, relaxed with PBE, the powder diffraction line list of Na5B8C2 was computed for Cu Ka.
No peak broadening, texture or thermal motion is included.

Atomic structure:
a b c (Å): 14.780 5.039 9.150
angles (deg): 90.00 108.89 90.00
Space group C2/c (No. 15)
Inequivalent atoms, fractional coordinates:
1 Na 0.050 0.248 0.000 x8
2 Na 0.150 0.251 0.499 x8
3 Na 0.250 0.250 0.000 x4
4 B 0.000 0.079 0.250 x4
5 B 0.000 0.431 0.250 x4
6 B 0.101 0.081 0.751 x8
7 B 0.109 0.430 0.751 x8
8 B 0.206 0.089 0.251 x8
9 C 0.202 0.412 0.250 x8

Largest 10 diffraction maxima, by intensity, 2θ from 5° to 70°:
- 41.09 deg, I 100
- 41.47 deg, I 51
- 41.73 deg, I 38
- 35.20 deg, I 20
- 63.73 deg, I 17
- 55.71 deg, I 11
- 35.64 deg, I 9
- 62.88 deg, I 9
- 56.01 deg, I 5
- 20.52 deg, I 2